# Lu12Mn5C15
Computed powder diffraction line list, Cu Kα. Input: a PBE-relaxed structure.
Intensities are scaled so that the largest is 1000.

```
Lu12Mn5C15
1.0
10.284 0.000 0.000
-5.142 8.906 0.000
0.000 0.000 4.901
Lu Mn C
12 5 15
Direct
0.000 0.431 0.000 Lu
0.000 0.793 0.000 Lu
0.185 0.731 0.500 Lu
0.207 0.207 0.000 Lu
0.269 0.455 0.500 Lu
0.431 0.000 0.000 Lu
0.455 0.269 0.500 Lu
0.545 0.815 0.500 Lu
0.569 0.569 0.000 Lu
0.731 0.185 0.500 Lu
0.793 0.000 0.000 Lu
0.815 0.545 0.500 Lu
0.000 0.153 0.500 Mn
0.153 0.000 0.500 Mn
0.333 0.667 0.000 Mn
0.667 0.333 0.000 Mn
0.847 0.847 0.500 Mn
0.000 0.327 0.500 C
0.000 0.459 0.500 C
0.000 0.794 0.500 C
0.191 0.718 0.000 C
0.206 0.206 0.500 C
0.282 0.473 0.000 C
0.327 0.000 0.500 C
0.459 0.000 0.500 C
0.473 0.282 0.000 C
0.527 0.809 0.000 C
0.541 0.541 0.500 C
0.673 0.673 0.500 C
0.718 0.191 0.000 C
0.794 0.000 0.500 C
0.809 0.527 0.000 C
```

The 10 most intense peaks (5 to 70 degrees two-theta), in order of rising 2θ:
- 2θ = 27.06°, intensity 121
- 2θ = 32.26°, intensity 1000
- 2θ = 34.90°, intensity 138
- 2θ = 35.35°, intensity 92
- 2θ = 36.37°, intensity 266
- 2θ = 36.68°, intensity 292
- 2θ = 52.61°, intensity 181
- 2θ = 60.91°, intensity 141
- 2θ = 63.28°, intensity 150
- 2θ = 66.62°, intensity 99